(1)
# Ba2In3AgAu4
Calculated X-ray powder pattern, Cu Kα (λ = 1.5418 Å). Input: a GGA-PBE-relaxed structure.
No peak broadening, texture or thermal motion is included.

Structure:
Cell lengths 4.8910, 4.8910, 11.2437 Å; angles 90.00, 90.00, 90.00 degrees
Space group P-4m2 (No. 115)
Unique sites:
Ba 0.0000 0.5000 0.2503 [2 per cell]
In 0.0000 0.0000 0.0000 [1 per cell]
In 0.0000 0.5000 0.6203 [2 per cell]
Ag 0.5000 0.5000 0.0000 [1 per cell]
Au 0.0000 0.0000 0.5000 [1 per cell]
Au 0.0000 0.5000 0.8675 [2 per cell]
Au 0.5000 0.5000 0.5000 [1 per cell]

Most intense lines, 10° ≤ 2θ ≤ 90°, by angle:
- 30.0°, intensity 57, (1 0 3)
- 30.3°, intensity 100, (1 1 2)
- 36.8°, intensity 83, (2 0 0)
- 41.4°, intensity 50, (1 1 4)
- 44.3°, intensity 23, (1 0 5)
- 48.2°, intensity 31, (2 1 3)
- 53.0°, intensity 30, (2 2 0)
- 62.3°, intensity 26, (3 1 2)

=====

(2)
# Ba8Ag2AuN
Calculated X-ray powder pattern, Cu Kα (λ = 1.5418 Å). Input: a GGA-PBE-relaxed structure.
No peak broadening, texture or thermal motion is included.

Structure:
Cell lengths 7.5820, 9.3465, 7.8077 Å; angles 90.00, 90.97, 90.00 degrees
Space group P2/m (No. 10)
Unique sites:
Ba 0.2092 0.2200 0.1627 [4 per cell]
Ba 0.2297 0.0000 0.7220 [2 per cell]
Ba 0.2730 0.5000 0.6732 [2 per cell]
Ag 0.5000 0.2215 0.5000 [2 per cell]
Au 0.0000 0.5000 0.0000 [1 per cell]
N 0.0000 0.0000 0.0000 [1 per cell]

Most intense lines, 10° ≤ 2θ ≤ 90°, by angle:
- 16.4°, intensity 49, (1 0 1)
- 25.0°, intensity 100, (1 2 -1)
- 25.2°, intensity 77, (1 2 1)
- 25.8°, intensity 37, (1 0 2)
- 32.3°, intensity 41, (2 2 -1)
- 32.7°, intensity 100, (2 0 -2)
- 38.5°, intensity 38, (0 4 0)
- 39.6°, intensity 56, (0 2 3)

=====

(3)
# BaNa2Ag2Au
Calculated X-ray powder pattern, Cu Kα (λ = 1.5418 Å). Input: a GGA-PBE-relaxed structure.
No peak broadening, texture or thermal motion is included.

Structure:
Cell lengths 5.5442, 5.5442, 12.6092 Å; angles 90.00, 90.00, 90.00 degrees
Space group I4/mmm (No. 139)
Unique sites:
Ba 0.0000 0.0000 0.0000 [2 per cell]
Na 0.0000 0.5000 0.2500 [4 per cell]
Ag 0.0000 0.0000 0.2855 [4 per cell]
Au 0.0000 0.0000 0.5000 [2 per cell]

Most intense lines, 10° ≤ 2θ ≤ 90°, by angle:
- 22.7°, intensity 100, (1 1 0)
- 28.3°, intensity 31, (0 0 4)
- 32.3°, intensity 59, (2 0 0)
- 36.6°, intensity 41, (1 1 4)
- 43.5°, intensity 38, (2 0 4)
- 46.3°, intensity 21, (2 2 0)
- 52.2°, intensity 21, (3 1 0)
- 60.4°, intensity 19, (3 1 4)

=====

(4)
# BaAg2AuO4
Calculated X-ray powder pattern, Cu Kα (λ = 1.5418 Å). Input: a GGA-PBE-relaxed structure.
No peak broadening, texture or thermal motion is included.

Structure:
Cell lengths 5.8707, 5.9003, 7.6556 Å; angles 90.00, 90.00, 90.00 degrees
Space group I222 (No. 23)
Unique sites:
Ba 0.0000 0.0000 0.0000 [2 per cell]
Ag 0.0000 0.5000 0.2489 [4 per cell]
Au 0.0000 0.0000 0.5000 [2 per cell]
O 0.1918 0.1926 0.2930 [8 per cell]

Most intense lines, 10° ≤ 2θ ≤ 90°, by angle:
- 30.3°, intensity 24, (0 2 0)
- 30.5°, intensity 24, (2 0 0)
- 31.8°, intensity 100, (1 1 2)
- 43.5°, intensity 24, (2 2 0)
- 54.8°, intensity 23, (1 3 2)
- 54.9°, intensity 22, (3 1 2)
- 57.4°, intensity 17, (2 0 4)
- 66.4°, intensity 13, (2 2 4)

=====

(5)
# Ba2Ag3Pb4Au
Calculated X-ray powder pattern, Cu Kα (λ = 1.5418 Å). Input: a GGA-PBE-relaxed structure.
No peak broadening, texture or thermal motion is included.

Structure:
Cell lengths 5.0170, 5.0170, 11.7596 Å; angles 90.00, 90.00, 90.00 degrees
Space group P-4m2 (No. 115)
Unique sites:
Ba 0.0000 0.5000 0.2377 [2 per cell]
Ag 0.0000 0.0000 0.0000 [1 per cell]
Ag 0.0000 0.5000 0.6346 [2 per cell]
Pb 0.0000 0.0000 0.5000 [1 per cell]
Pb 0.0000 0.5000 0.8760 [2 per cell]
Pb 0.5000 0.5000 0.5000 [1 per cell]
Au 0.5000 0.5000 0.0000 [1 per cell]

Most intense lines, 10° ≤ 2θ ≤ 90°, by angle:
- 28.9°, intensity 49, (1 0 3)
- 29.4°, intensity 100, (1 1 2)
- 35.8°, intensity 78, (2 0 0)
- 39.8°, intensity 54, (1 1 4)
- 46.6°, intensity 26, (2 1 3)
- 51.5°, intensity 28, (2 2 0)
- 60.4°, intensity 26, (3 1 2)
- 67.0°, intensity 24, (3 1 4)

=====

(6)
# BaAgPbAu2
Calculated X-ray powder pattern, Cu Kα (λ = 1.5418 Å). Input: a GGA-PBE-relaxed structure.
No peak broadening, texture or thermal motion is included.

Structure:
Cell lengths 5.3235, 5.3235, 5.3423 Å; angles 90.00, 90.00, 90.00 degrees
Space group P4/mmm (No. 123)
Unique sites:
Ba 0.0000 0.0000 0.0000 [1 per cell]
Ag 0.5000 0.5000 0.5000 [1 per cell]
Pb 0.5000 0.5000 0.0000 [1 per cell]
Au 0.0000 0.5000 0.5000 [2 per cell]

Most intense lines, 10° ≤ 2θ ≤ 90°, by angle:
- 16.6°, intensity 24, (1 0 0)
- 29.0°, intensity 100, (1 1 1)
- 33.5°, intensity 32, (0 0 2)
- 33.7°, intensity 64, (2 0 0)
- 48.3°, intensity 70, (2 2 0)
- 57.4°, intensity 31, (3 1 1)
- 60.1°, intensity 24, (2 2 2)
- 80.7°, intensity 21, (4 2 0)